Record 1
Starting from DFT lattice parameters and positions (PBE), the XRD peak list of Pr2MnBePt6 was computed for λ = 1.5418 Å (Cu Kα).
Lines closer than 0.1° are merged.

Principal peaks in the range 2θ = 10–90°, by angle:
2θ/deg, intensity
27.65, 33
29.06, 25
33.72, 18
36.77, 100
37.06, 18
40.27, 73
52.89, 12
58.76, 16
63.82, 25
70.92, 13

```
data_Pr2MnBePt6
_chemical_formula_sum 'Pr2 Mn1 Be1 Pt6'
_space_group_name_H-M_alt 'P 1'
_space_group_IT_number 1
_space_group_name_Hall 'P 1'
_cell_length_a 7.2788
_cell_length_b 7.2788
_cell_length_c 7.2788
_cell_angle_alpha 47.25
_cell_angle_beta 47.25
_cell_angle_gamma 47.25
loop_
_atom_site_label
_atom_site_fract_x
_atom_site_fract_y
_atom_site_fract_z
_atom_site_occupancy
Pr1 0.2152 0.2152 0.2152 1
Pr2 0.7848 0.7848 0.7848 1
Mn1 0.5000 0.5000 0.5000 1
Be1 0.0000 0.0000 0.0000 1
Pt1 0.2399 0.2399 0.7149 1
Pt2 0.2399 0.7149 0.2399 1
Pt3 0.2851 0.7601 0.7601 1
Pt4 0.7149 0.2399 0.2399 1
Pt5 0.7601 0.2851 0.7601 1
Pt6 0.7601 0.7601 0.2851 1
```

=====

Record 2
Starting from DFT lattice parameters and positions (PBE), the XRD peak list of Mn3BePt4 was computed for λ = 1.5418 Å (Cu Kα).
Lines closer than 0.1° are merged.

Principal peaks in the range 2θ = 10–90°, by angle:
2θ/deg, intensity
25.61, 32
31.35, 47
36.99, 10
40.91, 100
44.93, 44
52.43, 19
65.42, 14
71.64, 12
80.11, 28
83.63, 9

```
data_Mn3BePt4
_chemical_formula_sum 'Mn3 Be1 Pt4'
_space_group_name_H-M_alt 'P 1'
_space_group_IT_number 1
_space_group_name_Hall 'P 1'
_cell_length_a 2.8532
_cell_length_b 2.8532
_cell_length_c 13.9133
_cell_angle_alpha 90.00
_cell_angle_beta 90.00
_cell_angle_gamma 90.00
loop_
_atom_site_label
_atom_site_fract_x
_atom_site_fract_y
_atom_site_fract_z
_atom_site_occupancy
Mn1 0.0000 0.0000 0.0000 1
Mn2 0.0000 0.0000 0.2629 1
Mn3 0.0000 0.0000 0.7371 1
Be1 0.0000 0.0000 0.5000 1
Pt1 0.5000 0.5000 0.1314 1
Pt2 0.5000 0.5000 0.3969 1
Pt3 0.5000 0.5000 0.6031 1
Pt4 0.5000 0.5000 0.8686 1
```

=====

Record 3
Starting from DFT lattice parameters and positions (PBE), the XRD peak list of Mn2BePt was computed for λ = 1.5418 Å (Cu Kα).
Lines closer than 0.1° are merged.

Principal peaks in the range 2θ = 10–90°, by angle:
2θ/deg, intensity
25.53, 75
33.91, 48
40.01, 44
43.37, 28
45.72, 100
47.34, 23
59.50, 19
66.13, 15
81.26, 16
86.93, 15

```
data_Mn2BePt
_chemical_formula_sum 'Mn4 Be2 Pt2'
_space_group_name_H-M_alt 'P 1'
_space_group_IT_number 1
_space_group_name_Hall 'P 1'
_cell_length_a 2.7873
_cell_length_b 3.8407
_cell_length_c 8.3454
_cell_angle_alpha 90.00
_cell_angle_beta 90.00
_cell_angle_gamma 90.00
loop_
_atom_site_label
_atom_site_fract_x
_atom_site_fract_y
_atom_site_fract_z
_atom_site_occupancy
Mn1 0.0000 0.0000 0.2332 1
Mn2 0.0000 0.0000 0.7668 1
Mn3 0.5000 0.5000 0.2668 1
Mn4 0.5000 0.5000 0.7332 1
Be1 0.0000 0.5000 0.5000 1
Be2 0.5000 0.0000 0.0000 1
Pt1 0.0000 0.5000 0.0000 1
Pt2 0.5000 0.0000 0.5000 1
```

=====

Record 4
Starting from DFT lattice parameters and positions (PBE), the XRD peak list of Tm2MnBePt6 was computed for λ = 1.5418 Å (Cu Kα).
Lines closer than 0.1° are merged.

Principal peaks in the range 2θ = 10–90°, by angle:
2θ/deg, intensity
26.06, 45
28.55, 21
34.75, 20
35.84, 18
38.29, 100
41.33, 76
41.80, 16
52.02, 16
67.14, 25
73.33, 16

```
data_Tm2MnBePt6
_chemical_formula_sum 'Tm2 Mn1 Be1 Pt6'
_space_group_name_H-M_alt 'P 1'
_space_group_IT_number 1
_space_group_name_Hall 'P 1'
_cell_length_a 7.5585
_cell_length_b 7.5585
_cell_length_c 7.5585
_cell_angle_alpha 43.29
_cell_angle_beta 43.29
_cell_angle_gamma 43.29
loop_
_atom_site_label
_atom_site_fract_x
_atom_site_fract_y
_atom_site_fract_z
_atom_site_occupancy
Tm1 0.2061 0.2061 0.2061 1
Tm2 0.7939 0.7939 0.7939 1
Mn1 0.5000 0.5000 0.5000 1
Be1 0.0000 0.0000 0.0000 1
Pt1 0.2409 0.2409 0.7357 1
Pt2 0.2409 0.7357 0.2409 1
Pt3 0.2643 0.7591 0.7591 1
Pt4 0.7357 0.2409 0.2409 1
Pt5 0.7591 0.2643 0.7591 1
Pt6 0.7591 0.7591 0.2643 1
```

=====

Record 5
Starting from DFT lattice parameters and positions (PBE), the XRD peak list of RbMnBe2 was computed for λ = 1.5418 Å (Cu Kα).
Lines closer than 0.1° are merged.

Principal peaks in the range 2θ = 10–90°, by angle:
2θ/deg, intensity
21.65, 41
28.61, 100
37.71, 23
42.54, 33
43.90, 30
59.22, 14
59.40, 12
62.60, 20
62.95, 10
71.39, 13

```
data_RbMnBe2
_chemical_formula_sum 'Rb4 Mn4 Be8'
_space_group_name_H-M_alt 'P 1'
_space_group_IT_number 1
_space_group_name_Hall 'P 1'
_cell_length_a 4.7712
_cell_length_b 4.7712
_cell_length_c 16.4197
_cell_angle_alpha 90.00
_cell_angle_beta 90.00
_cell_angle_gamma 90.00
loop_
_atom_site_label
_atom_site_fract_x
_atom_site_fract_y
_atom_site_fract_z
_atom_site_occupancy
Rb1 0.0000 0.2500 0.3750 1
Rb2 0.0000 0.7500 0.6250 1
Rb3 0.5000 0.2500 0.1250 1
Rb4 0.5000 0.7500 0.8750 1
Mn1 0.0000 0.2500 0.8750 1
Mn2 0.0000 0.7500 0.1250 1
Mn3 0.5000 0.2500 0.6250 1
Mn4 0.5000 0.7500 0.3750 1
Be1 0.0000 0.0000 0.0000 1
Be2 0.0000 0.5000 0.0000 1
Be3 0.2500 0.2500 0.7500 1
Be4 0.2500 0.7500 0.2500 1
Be5 0.5000 0.0000 0.5000 1
Be6 0.5000 0.5000 0.5000 1
Be7 0.7500 0.2500 0.7500 1
Be8 0.7500 0.7500 0.2500 1
```

=====

Record 6
Starting from DFT lattice parameters and positions (PBE), the XRD peak list of RbMnBeSe3 was computed for λ = 1.5418 Å (Cu Kα).
Lines closer than 0.1° are merged.

Principal peaks in the range 2θ = 10–90°, by angle:
2θ/deg, intensity
11.38, 45
29.40, 55
30.47, 30
31.07, 100
31.25, 29
34.62, 35
35.03, 22
41.50, 21
49.07, 24
49.69, 25

```
data_RbMnBeSe3
_chemical_formula_sum 'Rb2 Mn2 Be2 Se6'
_space_group_name_H-M_alt 'P 1'
_space_group_IT_number 1
_space_group_name_Hall 'P 1'
_cell_length_a 9.1826
_cell_length_b 3.7126
_cell_length_c 9.7471
_cell_angle_alpha 90.00
_cell_angle_beta 110.75
_cell_angle_gamma 90.00
loop_
_atom_site_label
_atom_site_fract_x
_atom_site_fract_y
_atom_site_fract_z
_atom_site_occupancy
Rb1 0.2066 0.2500 0.2341 1
Rb2 0.7934 0.7500 0.7659 1
Mn1 0.3435 0.7500 0.8678 1
Mn2 0.6565 0.2500 0.1322 1
Be1 0.0833 0.2500 0.5962 1
Be2 0.9167 0.7500 0.4038 1
Se1 0.1473 0.2500 0.8441 1
Se2 0.1794 0.7500 0.5240 1
Se3 0.4831 0.7500 0.1576 1
Se4 0.5169 0.2500 0.8424 1
Se5 0.8206 0.2500 0.4760 1
Se6 0.8527 0.7500 0.1559 1
```

=====

Record 7
Starting from DFT lattice parameters and positions (PBE), the XRD peak list of Mn5Be2Re2Si was computed for λ = 1.5418 Å (Cu Kα).
Lines closer than 0.1° are merged.

Principal peaks in the range 2θ = 10–90°, by angle:
2θ/deg, intensity
20.37, 26
22.81, 82
37.38, 29
38.83, 100
42.77, 81
42.94, 21
44.07, 38
45.51, 68
77.53, 17
80.62, 25

```
data_Mn5Be2Re2Si
_chemical_formula_sum 'Mn10 Be4 Re4 Si2'
_space_group_name_H-M_alt 'P 1'
_space_group_IT_number 1
_space_group_name_Hall 'P 1'
_cell_length_a 8.7181
_cell_length_b 8.7181
_cell_length_c 2.8852
_cell_angle_alpha 90.00
_cell_angle_beta 90.00
_cell_angle_gamma 90.00
loop_
_atom_site_label
_atom_site_fract_x
_atom_site_fract_y
_atom_site_fract_z
_atom_site_occupancy
Mn1 0.0000 0.5000 0.0000 1
Mn2 0.0621 0.2052 0.0000 1
Mn3 0.2052 0.9379 0.0000 1
Mn4 0.2948 0.4379 0.0000 1
Mn5 0.4379 0.7052 0.0000 1
Mn6 0.5000 0.0000 0.0000 1
Mn7 0.5621 0.2948 0.0000 1
Mn8 0.7052 0.5621 0.0000 1
Mn9 0.7948 0.0621 0.0000 1
Mn10 0.9379 0.7948 0.0000 1
Be1 0.1259 0.3741 0.5000 1
Be2 0.3741 0.8741 0.5000 1
Be3 0.6259 0.1259 0.5000 1
Be4 0.8741 0.6259 0.5000 1
Re1 0.1743 0.6743 0.5000 1
Re2 0.3257 0.1743 0.5000 1
Re3 0.6743 0.8257 0.5000 1
Re4 0.8257 0.3257 0.5000 1
Si1 0.0000 0.0000 0.5000 1
Si2 0.5000 0.5000 0.5000 1
```

=====

Record 8
Starting from DFT lattice parameters and positions (PBE), the XRD peak list of MnBeRh was computed for λ = 1.5418 Å (Cu Kα).
Lines closer than 0.1° are merged.

Principal peaks in the range 2θ = 10–90°, by angle:
2θ/deg, intensity
31.36, 54
32.26, 27
33.20, 21
38.25, 11
44.94, 56
45.61, 100
56.39, 21
65.43, 17
83.38, 32
84.82, 13

```
data_MnBeRh
_chemical_formula_sum 'Mn2 Be2 Rh2'
_space_group_name_H-M_alt 'P 1'
_space_group_IT_number 1
_space_group_name_Hall 'P 1'
_cell_length_a 2.8527
_cell_length_b 2.8527
_cell_length_c 8.3243
_cell_angle_alpha 90.00
_cell_angle_beta 90.00
_cell_angle_gamma 90.00
loop_
_atom_site_label
_atom_site_fract_x
_atom_site_fract_y
_atom_site_fract_z
_atom_site_occupancy
Mn1 0.0000 0.0000 0.0000 1
Mn2 0.5000 0.5000 0.1574 1
Be1 0.0000 0.0000 0.3221 1
Be2 0.0000 0.0000 0.6356 1
Rh1 0.5000 0.5000 0.4678 1
Rh2 0.5000 0.5000 0.8016 1
```

=====

Record 9
Starting from DFT lattice parameters and positions (PBE), the XRD peak list of MnBe2V2Ru5 was computed for λ = 1.5418 Å (Cu Kα).
Lines closer than 0.1° are merged.

Principal peaks in the range 2θ = 10–90°, by angle:
2θ/deg, intensity
29.55, 36
30.98, 19
35.46, 31
37.00, 40
40.76, 62
43.34, 100
44.38, 33
46.81, 40
73.37, 20
80.99, 29

```
data_MnBe2V2Ru5
_chemical_formula_sum 'Mn2 Be4 V4 Ru10'
_space_group_name_H-M_alt 'P 1'
_space_group_IT_number 1
_space_group_name_Hall 'P 1'
_cell_length_a 9.1280
_cell_length_b 9.1280
_cell_length_c 3.0231
_cell_angle_alpha 90.00
_cell_angle_beta 90.00
_cell_angle_gamma 90.00
loop_
_atom_site_label
_atom_site_fract_x
_atom_site_fract_y
_atom_site_fract_z
_atom_site_occupancy
Mn1 0.0000 0.0000 0.0000 1
Mn2 0.5000 0.5000 0.0000 1
Be1 0.1234 0.3766 0.0000 1
Be2 0.3766 0.8766 0.0000 1
Be3 0.6234 0.1234 0.0000 1
Be4 0.8766 0.6234 0.0000 1
V1 0.1746 0.6746 0.0000 1
V2 0.3254 0.1746 0.0000 1
V3 0.6746 0.8254 0.0000 1
V4 0.8254 0.3254 0.0000 1
Ru1 0.0000 0.5000 0.5000 1
Ru2 0.0805 0.2023 0.5000 1
Ru3 0.2023 0.9195 0.5000 1
Ru4 0.2977 0.4195 0.5000 1
Ru5 0.4195 0.7023 0.5000 1
Ru6 0.5000 0.0000 0.5000 1
Ru7 0.5805 0.2977 0.5000 1
Ru8 0.7023 0.5805 0.5000 1
Ru9 0.7977 0.0805 0.5000 1
Ru10 0.9195 0.7977 0.5000 1
```

=====

Record 10
Starting from DFT lattice parameters and positions (PBE), the XRD peak list of MnBeVS4 was computed for λ = 1.5418 Å (Cu Kα).
Lines closer than 0.1° are merged.

Principal peaks in the range 2θ = 10–90°, by angle:
2θ/deg, intensity
15.79, 38
16.02, 49
30.62, 35
30.99, 20
36.97, 52
37.41, 100
53.30, 18
53.61, 70
54.57, 17
66.64, 16

```
data_MnBeVS4
_chemical_formula_sum 'Mn2 Be2 V2 S8'
_space_group_name_H-M_alt 'P 1'
_space_group_IT_number 1
_space_group_name_Hall 'P 1'
_cell_length_a 6.8391
_cell_length_b 6.8391
_cell_length_c 6.8391
_cell_angle_alpha 121.08
_cell_angle_beta 119.65
_cell_angle_gamma 89.37
loop_
_atom_site_label
_atom_site_fract_x
_atom_site_fract_y
_atom_site_fract_z
_atom_site_occupancy
Mn1 0.0000 0.0000 0.0000 1
Mn2 0.5000 0.0000 0.5000 1
Be1 0.3766 0.6266 0.7500 1
Be2 0.6234 0.3734 0.2500 1
V1 0.0000 0.0000 0.5000 1
V2 0.0000 0.5000 0.0000 1
S1 0.2449 0.2459 0.9990 1
S2 0.2481 0.2446 0.4964 1
S3 0.2481 0.7517 0.0036 1
S4 0.2531 0.7541 0.4990 1
S5 0.7469 0.2459 0.5010 1
S6 0.7519 0.2483 0.9964 1
S7 0.7519 0.7554 0.5036 1
S8 0.7551 0.7541 0.0010 1
```

=====

Record 11
Starting from DFT lattice parameters and positions (PBE), the XRD peak list of MnBeSe4 was computed for λ = 1.5418 Å (Cu Kα).
Lines closer than 0.1° are merged.

Principal peaks in the range 2θ = 10–90°, by angle:
2θ/deg, intensity
19.24, 61
37.33, 100
39.06, 72
45.41, 22
49.75, 15
60.19, 32
66.17, 30
69.63, 11
78.52, 11
79.60, 26

```
data_MnBeSe4
_chemical_formula_sum 'Mn1 Be1 Se4'
_space_group_name_H-M_alt 'P 1'
_space_group_IT_number 1
_space_group_name_Hall 'P 1'
_cell_length_a 5.6487
_cell_length_b 5.6487
_cell_length_c 5.6487
_cell_angle_alpha 60.00
_cell_angle_beta 60.00
_cell_angle_gamma 60.00
loop_
_atom_site_label
_atom_site_fract_x
_atom_site_fract_y
_atom_site_fract_z
_atom_site_occupancy
Mn1 0.0000 0.0000 0.0000 1
Be1 0.2500 0.2500 0.2500 1
Se1 0.1264 0.6245 0.6245 1
Se2 0.6245 0.1264 0.6245 1
Se3 0.6245 0.6245 0.1264 1
Se4 0.6245 0.6245 0.6245 1
```

=====

Record 12
Starting from DFT lattice parameters and positions (PBE), the XRD peak list of Mn4Be10Si was computed for λ = 1.5418 Å (Cu Kα).
Lines closer than 0.1° are merged.

Principal peaks in the range 2θ = 10–90°, by angle:
2θ/deg, intensity
28.27, 100
28.45, 49
38.50, 16
48.44, 67
48.55, 34
49.94, 19
50.26, 37
58.48, 11
65.05, 12
72.15, 9

```
data_Mn4Be10Si
_chemical_formula_sum 'Mn4 Be10 Si1'
_space_group_name_H-M_alt 'P 1'
_space_group_IT_number 1
_space_group_name_Hall 'P 1'
_cell_length_a 5.9178
_cell_length_b 5.9178
_cell_length_c 4.3406
_cell_angle_alpha 99.62
_cell_angle_beta 99.62
_cell_angle_gamma 64.04
loop_
_atom_site_label
_atom_site_fract_x
_atom_site_fract_y
_atom_site_fract_z
_atom_site_occupancy
Mn1 0.1001 0.1001 0.4019 1
Mn2 0.3043 0.3043 0.1964 1
Mn3 0.6957 0.6957 0.8036 1
Mn4 0.8999 0.8999 0.5981 1
Be1 0.0624 0.7370 0.0972 1
Be2 0.1291 0.4656 0.6977 1
Be3 0.2630 0.9376 0.9028 1
Be4 0.3282 0.6718 0.5000 1
Be5 0.4656 0.1291 0.6977 1
Be6 0.5344 0.8709 0.3023 1
Be7 0.6718 0.3282 0.5000 1
Be8 0.7370 0.0624 0.0972 1
Be9 0.8709 0.5344 0.3023 1
Be10 0.9376 0.2630 0.9028 1
Si1 0.5000 0.5000 0.0000 1
```